Simulated PXRD pattern
Compound: P3W5
Radiation: Cu Kα (λ = 1.5418 Å)
Structure: a structure optimized by DFT (GGA-PBE)
Kinematic intensities with the Lorentz-polarization factor, no thermal factor.

Peak list (8 most intense, 15° ≤ 2θ ≤ 90°, in order of rising 2θ)
hkl 2 0 -1, 2.741 Å, I = 412; hkl 1 5 0, 2.321 Å, I = 367; hkl 0 4 2, 2.314 Å, I = 563; hkl 1 1 -3, 2.302 Å, I = 418; hkl 2 0 1, 2.149 Å, I = 520; hkl 1 3 2, 2.108 Å, I = 452; hkl 2 4 -1, 2.096 Å, I = 780; hkl 1 5 -2, 2.059 Å, I = 1000

Cell and atoms:
```
data_P3W5
_chemical_formula_sum 'P12 W20'
_cell_length_a 5.486
_cell_length_b 13.011
_cell_length_c 7.039
_cell_angle_alpha 90.00
_cell_angle_beta 110.66
_cell_angle_gamma 90.00
_space_group_name_H-M_alt 'C 1 m 1'
_space_group_IT_number 8
loop_
_space_group_symop_operation_xyz
'x,y,z'
'x,-y,z'
'x+1/2,y+1/2,z'
'x+1/2,-y+1/2,z'
loop_
_atom_site_label
_atom_site_fract_x
_atom_site_fract_y
_atom_site_fract_z
_atom_site_occupancy
P1 0.000 0.000 0.000 1
P2 0.072 0.235 0.880 1
P3 0.158 0.321 0.377 1
P4 0.313 0.000 0.721 1
W1 0.143 0.169 0.588 1
W2 0.194 0.388 0.716 1
W3 0.314 0.000 0.362 1
W4 0.325 0.500 0.396 1
W5 0.431 0.110 0.034 1
W6 0.477 0.336 0.161 1
```

=====

Simulated PXRD pattern
Compound: NdEuGe4O12
Radiation: Cu Kα (λ = 1.5418 Å)
Structure: a structure optimized by DFT (GGA-PBE)
Kinematic intensities with the Lorentz-polarization factor, no thermal factor.

Peak list (8 most intense, 15° ≤ 2θ ≤ 90°, in order of rising 2θ)
hkl 1 0 1, 4.345 Å, I = 724; hkl 2 0 0, 2.661 Å, I = 1000; hkl 2 1 1, 2.269 Å, I = 398; hkl 2 2 0, 1.881 Å, I = 383; hkl 3 0 1, 1.726 Å, I = 171; hkl 3 1 2, 1.536 Å, I = 389; hkl 4 0 0, 1.330 Å, I = 222; hkl 4 2 0, 1.190 Å, I = 172

Cell and atoms:
```
data_NdEuGe4O12
_chemical_formula_sum 'Nd1 Eu1 Ge4 O12'
_cell_length_a 5.319
_cell_length_b 5.319
_cell_length_c 7.531
_cell_angle_alpha 90.00
_cell_angle_beta 90.00
_cell_angle_gamma 90.00
_space_group_name_H-M_alt 'P 4/m m m'
_space_group_IT_number 123
_space_group_name_Hall '-P 4 2'
loop_
_atom_site_label
_atom_site_fract_x
_atom_site_fract_y
_atom_site_fract_z
_atom_site_occupancy
Nd1 0.000 0.000 0.000 1
Eu1 0.500 0.500 0.500 1
Ge1 0.000 0.500 0.251 1
O1 0.000 0.500 0.000 1
O2 0.000 0.500 0.500 1
O3 0.249 0.249 0.247 1
```

=====

Simulated PXRD pattern
Compound: B2C
Radiation: Cu Kα (λ = 1.5418 Å)
Structure: a structure optimized by DFT (GGA-PBE)
Kinematic intensities with the Lorentz-polarization factor, no thermal factor.

Peak list (8 most intense, 15° ≤ 2θ ≤ 90°, in order of rising 2θ)
hkl 0 0 1, 5.557 Å, I = 1000; hkl 2 0 1, 4.117 Å, I = 739; hkl 4 0 0, 3.274 Å, I = 210; hkl 2 0 2, 2.505 Å, I = 256; hkl 3 1 0, 2.283 Å, I = 644; hkl 4 0 -2, 2.184 Å, I = 293; hkl 4 0 2, 2.059 Å, I = 133; hkl 7 1 -2, 1.371 Å, I = 194

Cell and atoms:
```
data_B2C
_chemical_formula_sum 'B16 C8'
_cell_length_a 13.118
_cell_length_b 2.678
_cell_length_c 5.567
_cell_angle_alpha 90.00
_cell_angle_beta 93.42
_cell_angle_gamma 90.00
_space_group_name_H-M_alt 'C 1 m 1'
_space_group_IT_number 8
loop_
_space_group_symop_operation_xyz
'x,y,z'
'x,-y,z'
'x+1/2,y+1/2,z'
'x+1/2,-y+1/2,z'
loop_
_atom_site_label
_atom_site_fract_x
_atom_site_fract_y
_atom_site_fract_z
_atom_site_occupancy
B1 0.000 0.000 0.000 1
B2 0.001 0.000 0.619 1
B3 0.153 0.000 0.564 1
B4 0.162 0.500 0.861 1
B5 0.284 0.500 0.778 1
B6 0.293 0.500 0.341 1
B7 0.382 0.000 0.292 1
B8 0.385 0.000 0.798 1
C1 0.099 0.000 0.832 1
C2 0.202 0.500 0.495 1
C3 0.449 0.000 0.061 1
C4 0.450 0.000 0.546 1
```

=====

Simulated PXRD pattern
Compound: KCePCO7
Radiation: Cu Kα (λ = 1.5418 Å)
Structure: a structure optimized by DFT (GGA-PBE)
Kinematic intensities with the Lorentz-polarization factor, no thermal factor.

Peak list (8 most intense, 15° ≤ 2θ ≤ 90°, in order of rising 2θ)
hkl 0 1 1, 5.769 Å, I = 744; hkl 1 0 1, 4.246 Å, I = 539; hkl 0 1 2, 4.099 Å, I = 358; hkl 1 1 0, 4.047 Å, I = 463; hkl 0 2 0, 3.516 Å, I = 1000; hkl 1 0 2, 3.338 Å, I = 456; hkl 1 1 -2, 3.321 Å, I = 415; hkl 2 0 -1, 2.473 Å, I = 430

Cell and atoms:
```
data_KCePCO7
_chemical_formula_sum 'K2 Ce2 P2 C2 O14'
_cell_length_a 4.985
_cell_length_b 7.031
_cell_length_c 10.166
_cell_angle_alpha 90.00
_cell_angle_beta 96.93
_cell_angle_gamma 90.00
_space_group_name_H-M_alt 'P 1 21 1'
_space_group_IT_number 4
loop_
_space_group_symop_operation_xyz
'x,y,z'
'-x,y+1/2,-z'
loop_
_atom_site_label
_atom_site_fract_x
_atom_site_fract_y
_atom_site_fract_z
_atom_site_occupancy
K1 0.075 0.000 0.145 1
Ce1 0.271 0.921 0.657 1
P1 0.330 0.420 0.574 1
C1 0.469 0.896 0.923 1
O1 0.181 0.418 0.430 1
O2 0.206 0.905 0.880 1
O3 0.253 0.599 0.650 1
O4 0.263 0.242 0.653 1
O5 0.363 0.924 0.442 1
O6 0.379 0.382 0.175 1
O7 0.442 0.402 0.957 1
```

=====

Simulated PXRD pattern
Compound: Na3B4C2
Radiation: Cu Kα (λ = 1.5418 Å)
Structure: a structure optimized by DFT (GGA-PBE)
Kinematic intensities with the Lorentz-polarization factor, no thermal factor.

Peak list (8 most intense, 15° ≤ 2θ ≤ 90°, in order of rising 2θ)
hkl 0 6 0, 2.558 Å, I = 117; hkl 1 3 0, 2.457 Å, I = 162; hkl 0 6 2, 2.199 Å, I = 483; hkl 0 0 4, 2.152 Å, I = 390; hkl 1 3 2, 2.134 Å, I = 1000; hkl 1 9 0, 1.457 Å, I = 169; hkl 1 3 6, 1.239 Å, I = 130; hkl 1 9 4, 1.206 Å, I = 165

Cell and atoms:
```
data_Na3B4C2
_chemical_formula_sum 'Na12 B16 C8'
_cell_length_a 2.802
_cell_length_b 15.347
_cell_length_c 8.608
_cell_angle_alpha 90.00
_cell_angle_beta 90.00
_cell_angle_gamma 90.00
_space_group_name_H-M_alt 'C m c m'
_space_group_IT_number 63
_space_group_name_Hall '-C 2c 2'
loop_
_atom_site_label
_atom_site_fract_x
_atom_site_fract_y
_atom_site_fract_z
_atom_site_occupancy
Na1 0.000 0.000 0.000 1
Na2 0.000 0.332 0.001 1
B1 0.000 0.113 0.250 1
B2 0.000 0.118 0.750 1
B3 0.000 0.230 0.750 1
B4 0.000 0.458 0.250 1
C1 0.000 0.217 0.250 1
C2 0.000 0.441 0.750 1
```

=====

Simulated PXRD pattern
Compound: Hf6Ti2Mn
Radiation: Cu Kα (λ = 1.5418 Å)
Structure: a structure optimized by DFT (GGA-PBE)
Kinematic intensities with the Lorentz-polarization factor, no thermal factor.

Peak list (8 most intense, 15° ≤ 2θ ≤ 90°, in order of rising 2θ)
hkl 3 1 0, 4.257 Å, I = 255; hkl 0 2 0, 4.164 Å, I = 398; hkl 2 0 1, 2.756 Å, I = 484; hkl 6 0 0, 2.476 Å, I = 547; hkl 3 3 0, 2.422 Å, I = 1000; hkl 2 2 1, 2.302 Å, I = 391; hkl 4 2 -1, 2.029 Å, I = 293; hkl 1 3 -1, 2.011 Å, I = 287

Cell and atoms:
```
data_Hf6Ti2Mn
_chemical_formula_sum 'Hf12 Ti4 Mn2'
_cell_length_a 14.858
_cell_length_b 8.328
_cell_length_c 2.976
_cell_angle_alpha 90.00
_cell_angle_beta 90.16
_cell_angle_gamma 90.00
_space_group_name_H-M_alt 'C 1 2/m 1'
_space_group_IT_number 12
loop_
_space_group_symop_operation_xyz
'x,y,z'
'-x,-y,-z'
'-x,y,-z'
'x,-y,z'
'x+1/2,y+1/2,z'
'-x+1/2,-y+1/2,-z'
'-x+1/2,y+1/2,-z'
'x+1/2,-y+1/2,z'
loop_
_atom_site_label
_atom_site_fract_x
_atom_site_fract_y
_atom_site_fract_z
_atom_site_occupancy
Hf1 0.000 0.189 0.000 1
Hf2 0.163 0.324 0.501 1
Ti1 0.176 0.000 0.998 1
Mn1 0.000 0.500 0.500 1
```

=====

Simulated PXRD pattern
Compound: SmFeNi4
Radiation: Cu Kα (λ = 1.5418 Å)
Structure: a structure optimized by DFT (GGA-PBE)
Kinematic intensities with the Lorentz-polarization factor, no thermal factor.

Peak list (8 most intense, 15° ≤ 2θ ≤ 90°, in order of rising 2θ)
hkl 1 0 1, 2.912 Å, I = 510; hkl 1 1 0, 2.498 Å, I = 313; hkl 2 0 0, 2.163 Å, I = 378; hkl 1 1 1, 2.109 Å, I = 1000; hkl 0 0 2, 1.969 Å, I = 257; hkl 2 0 2, 1.456 Å, I = 205; hkl 3 0 1, 1.354 Å, I = 224; hkl 2 2 0, 1.249 Å, I = 160

Cell and atoms:
```
data_SmFeNi4
_chemical_formula_sum 'Sm1 Fe1 Ni4'
_cell_length_a 4.9955
_cell_length_b 4.9955
_cell_length_c 3.9374
_cell_angle_alpha 90.00
_cell_angle_beta 90.00
_cell_angle_gamma 120.00
_space_group_name_H-M_alt 'P -6 m 2'
_space_group_IT_number 187
_space_group_name_Hall 'P -6 2'
loop_
_atom_site_label
_atom_site_fract_x
_atom_site_fract_y
_atom_site_fract_z
_atom_site_occupancy
Sm1 0.0000 0.0000 0.0000 1
Fe1 0.3333 0.6667 0.0000 1
Ni1 0.5004 0.0008 0.5000 1
Ni2 0.6667 0.3333 0.0000 1
```

=====

Simulated PXRD pattern
Compound: V3Mo2W3
Radiation: Cu Kα (λ = 1.5418 Å)
Structure: a structure optimized by DFT (GGA-PBE)
Kinematic intensities with the Lorentz-polarization factor, no thermal factor.

Peak list (8 most intense, 15° ≤ 2θ ≤ 90°, in order of rising 2θ)
hkl 0 1 3, 3.515 Å, I = 170; hkl 1 0 1, 3.061 Å, I = 126; hkl 0 1 5, 2.741 Å, I = 101; hkl 1 1 4, 2.198 Å, I = 1000; hkl 0 0 8, 2.189 Å, I = 197; hkl 2 0 0, 1.553 Å, I = 197; hkl 2 2 0, 1.270 Å, I = 201; hkl 1 1 12, 1.265 Å, I = 132

Cell and atoms:
```
data_V3Mo2W3
_chemical_formula_sum 'V6 Mo4 W6'
_cell_length_a 3.109
_cell_length_b 4.402
_cell_length_c 17.515
_cell_angle_alpha 90.00
_cell_angle_beta 90.00
_cell_angle_gamma 90.00
_space_group_name_H-M_alt 'I m m m'
_space_group_IT_number 71
_space_group_name_Hall '-I 2 2'
loop_
_atom_site_label
_atom_site_fract_x
_atom_site_fract_y
_atom_site_fract_z
_atom_site_occupancy
V1 0.000 0.000 0.000 1
V2 0.000 0.500 0.123 1
Mo1 0.000 0.000 0.250 1
W1 0.000 0.000 0.500 1
W2 0.000 0.500 0.376 1
```